# Li3CoO4
Theoretical powder diffraction line list, a wavelength of 1.5418 Å. Input: a cell relaxed with GGA+U.
Neutral-atom scattering factors, no anomalous dispersion.

Crystal structure
Cell: 4.908 4.908 4.874 Å, 101.85 101.85 33.68°
Fractional coordinates of all 8 atoms:
Li 0.000 0.000 0.000
Li 0.252 0.252 0.762
Li 0.748 0.748 0.238
Co 0.500 0.500 0.500
O 0.112 0.112 0.391
O 0.383 0.383 0.157
O 0.617 0.617 0.843
O 0.888 0.888 0.609

The 10 most intense peaks (10 to 80 degrees two-theta), by angle:
2θ/deg	intensity
18.6	100
19.3	99
23.9	61
29.8	21
33.0	36
37.0	26
44.9	88
46.6	38
66.3	24
67.1	20